Entry 1:
AcNdSm5Y2: theoretical X-ray powder pattern (Cu Kα, 1.54184 Å), based on the PBE geometry in Alexandria.
Kinematic intensities with the Lorentz-polarization factor, no thermal factor.

The 10 most intense peaks (2θ from 10° to 90°), by angle:
- 16.2 deg, I 15
- 27.0 deg, I 17
- 29.0 deg, I 17
- 29.2 deg, I 16
- 30.8 deg, I 70
- 31.8 deg, I 100
- 32.8 deg, I 43
- 43.6 deg, I 12
- 43.8 deg, I 11
- 56.0 deg, I 14

Structural model:
Unit cell a=12.462 b=12.462 c=9.465 alpha=90.00 beta=90.00 gamma=153.91
Fractional positions:
1 Ac 0.102 0.898 0.500
2 Ac 0.898 0.102 0.000
3 Nd 0.261 0.739 0.109
4 Nd 0.739 0.261 0.609
5 Sm 0.024 0.976 0.820
6 Sm 0.103 0.897 0.101
7 Sm 0.191 0.809 0.799
8 Sm 0.241 0.759 0.436
9 Sm 0.493 0.507 0.597
10 Sm 0.507 0.493 0.097
11 Sm 0.759 0.241 0.936
12 Sm 0.809 0.191 0.299
13 Sm 0.897 0.103 0.601
14 Sm 0.976 0.024 0.320
15 Y 0.331 0.669 0.747
16 Y 0.388 0.612 0.353
17 Y 0.612 0.388 0.853
18 Y 0.669 0.331 0.247


Entry 2:
Ac2NdSmY5: theoretical X-ray powder pattern (Cu Kα, 1.54184 Å), based on the PBE geometry in Alexandria.
Kinematic intensities with the Lorentz-polarization factor, no thermal factor.

The 10 most intense peaks (2θ from 10° to 90°), by angle:
- 25.9 deg, I 16
- 27.7 deg, I 17
- 29.1 deg, I 40
- 30.6 deg, I 42
- 31.4 deg, I 100
- 32.6 deg, I 11
- 49.5 deg, I 13
- 54.9 deg, I 21
- 58.3 deg, I 16
- 59.3 deg, I 14

Structural model:
Unit cell a=10.533 b=10.533 c=11.003 alpha=90.00 beta=90.00 gamma=147.82
Fractional positions:
1 Ac 0.112 0.888 0.500
2 Ac 0.116 0.884 0.090
3 Ac 0.884 0.116 0.590
4 Ac 0.888 0.112 0.000
5 Nd 0.417 0.583 0.229
6 Nd 0.583 0.417 0.729
7 Sm 0.205 0.795 0.780
8 Sm 0.795 0.205 0.280
9 Y 0.019 0.981 0.796
10 Y 0.285 0.715 0.077
11 Y 0.298 0.702 0.475
12 Y 0.392 0.608 0.791
13 Y 0.480 0.520 0.506
14 Y 0.520 0.480 0.006
15 Y 0.608 0.392 0.291
16 Y 0.702 0.298 0.975
17 Y 0.715 0.285 0.577
18 Y 0.981 0.019 0.296


Entry 3:
Ac5NdSm2Y: theoretical X-ray powder pattern (Cu Kα, 1.54184 Å), based on the PBE geometry in Alexandria.
Kinematic intensities with the Lorentz-polarization factor, no thermal factor.

The 10 most intense peaks (2θ from 10° to 90°), by angle:
- 25.0 deg, I 34
- 28.7 deg, I 29
- 29.7 deg, I 100
- 30.6 deg, I 35
- 31.8 deg, I 8
- 32.1 deg, I 16
- 40.0 deg, I 8
- 44.9 deg, I 13
- 53.1 deg, I 13
- 53.8 deg, I 19

Structural model:
Unit cell a=11.637 b=11.637 c=11.159 alpha=90.00 beta=90.00 gamma=150.88
Fractional positions:
1 Ac 0.000 0.000 0.000
2 Ac 0.000 0.000 0.500
3 Ac 0.129 0.871 0.750
4 Ac 0.218 0.782 0.063
5 Ac 0.218 0.782 0.437
6 Ac 0.498 0.502 0.750
7 Ac 0.502 0.498 0.250
8 Ac 0.782 0.218 0.563
9 Ac 0.782 0.218 0.937
10 Ac 0.871 0.129 0.250
11 Nd 0.302 0.698 0.750
12 Nd 0.698 0.302 0.250
13 Sm 0.387 0.613 0.005
14 Sm 0.387 0.613 0.495
15 Sm 0.613 0.387 0.505
16 Sm 0.613 0.387 0.995
17 Y 0.098 0.902 0.250
18 Y 0.902 0.098 0.750


Entry 4:
AcNd3SmY: theoretical X-ray powder pattern (Cu Kα, 1.54184 Å), based on the PBE geometry in Alexandria.
Kinematic intensities with the Lorentz-polarization factor, no thermal factor.

The 10 most intense peaks (2θ from 10° to 90°), by angle:
- 29.5 deg, I 100
- 34.2 deg, I 34
- 34.2 deg, I 17
- 49.1 deg, I 31
- 58.3 deg, I 22
- 58.4 deg, I 14
- 58.5 deg, I 7
- 61.3 deg, I 6
- 79.6 deg, I 9
- 82.1 deg, I 8

Structural model:
Unit cell a=8.292 b=5.254 c=10.490 alpha=90.00 beta=108.69 gamma=90.00
Fractional positions:
1 Ac 0.169 0.250 0.292
2 Ac 0.831 0.750 0.708
3 Nd 0.171 0.750 0.546
4 Nd 0.172 0.250 0.793
5 Nd 0.172 0.750 0.040
6 Nd 0.828 0.250 0.960
7 Nd 0.828 0.750 0.207
8 Nd 0.829 0.250 0.454
9 Sm 0.496 0.750 0.876
10 Sm 0.504 0.250 0.124
11 Y 0.497 0.250 0.627
12 Y 0.503 0.750 0.373


Entry 5:
AcNdSm3Y: theoretical X-ray powder pattern (Cu Kα, 1.54184 Å), based on the PBE geometry in Alexandria.
Kinematic intensities with the Lorentz-polarization factor, no thermal factor.

The 10 most intense peaks (2θ from 10° to 90°), by angle:
- 29.6 deg, I 100
- 29.7 deg, I 99
- 34.3 deg, I 68
- 34.4 deg, I 34
- 49.3 deg, I 37
- 49.4 deg, I 24
- 58.6 deg, I 29
- 58.7 deg, I 43
- 58.8 deg, I 15
- 82.6 deg, I 19

Structural model:
Unit cell a=8.271 b=5.223 c=10.419 alpha=90.00 beta=108.65 gamma=90.00
Fractional positions:
1 Ac 0.167 0.250 0.292
2 Ac 0.833 0.750 0.708
3 Nd 0.496 0.750 0.875
4 Nd 0.504 0.250 0.125
5 Sm 0.170 0.750 0.040
6 Sm 0.170 0.750 0.546
7 Sm 0.171 0.250 0.792
8 Sm 0.829 0.750 0.208
9 Sm 0.830 0.250 0.454
10 Sm 0.830 0.250 0.960
11 Y 0.497 0.250 0.626
12 Y 0.503 0.750 0.374


Entry 6:
AcNd5Sn5: theoretical X-ray powder pattern (Cu Kα, 1.54184 Å), based on the PBE geometry in Alexandria.
Kinematic intensities with the Lorentz-polarization factor, no thermal factor.

The 10 most intense peaks (2θ from 10° to 90°), by angle:
- 27.6 deg, I 100
- 27.9 deg, I 47
- 38.9 deg, I 20
- 39.5 deg, I 38
- 39.7 deg, I 37
- 40.3 deg, I 17
- 48.4 deg, I 21
- 49.6 deg, I 19
- 57.0 deg, I 13
- 64.5 deg, I 18

Structural model:
Unit cell a=7.957 b=7.957 c=8.946 alpha=105.82 beta=105.82 gamma=47.87
Fractional positions:
1 Ac 0.000 0.000 0.000
2 Nd 0.000 0.000 0.500
3 Nd 0.327 0.327 0.159
4 Nd 0.338 0.338 0.666
5 Nd 0.662 0.662 0.334
6 Nd 0.673 0.673 0.841
7 Sn 0.169 0.169 0.347
8 Sn 0.169 0.169 0.819
9 Sn 0.500 0.500 0.000
10 Sn 0.831 0.831 0.181
11 Sn 0.831 0.831 0.653